Calculated XRD peak list
Compound: RbReO3
Radiation: λ = 1.5418 Å (Cu Kα)
Structure: a crystal structure in OQMD, relaxed with PBE
Intensities are scaled so that the largest is 100.

Cell and atoms:
Cell: 5.252 8.093 8.469 Å, 113.11 94.38 95.84°
Element x y z (fractional)
Rb (0.000, 0.000, 0.000)
Rb (0.000, 0.000, 0.500)
Rb (0.416, 0.703, 0.102)
Rb (0.584, 0.297, 0.898)
Re (0.027, 0.509, 0.310)
Re (0.496, 0.288, 0.356)
Re (0.504, 0.712, 0.644)
Re (0.973, 0.491, 0.690)
O (0.097, 0.377, 0.818)
O (0.209, 0.718, 0.771)
O (0.241, 0.435, 0.511)
O (0.287, 0.717, 0.451)
O (0.305, 0.377, 0.204)
O (0.350, 0.055, 0.276)
O (0.650, 0.945, 0.724)
O (0.695, 0.623, 0.796)
O (0.713, 0.283, 0.549)
O (0.759, 0.565, 0.489)
O (0.791, 0.282, 0.229)
O (0.903, 0.623, 0.182)

Most intense lines, 2θ from 10° to 90°, by intensity:
Position (°2θ)  d/Å  I (rel.)
26.61  3.350  100
12.01  7.367  99
27.62  3.229  91
12.83  6.901  71
28.15  3.171  70
31.77  2.816  68
30.15  2.964  59
42.64  2.121  52
11.45  7.726  50
34.61  2.591  38
34.48  2.601  29
38.25  2.353  28

=====

Calculated XRD peak list
Compound: Cu9Ag
Radiation: λ = 1.5418 Å (Cu Kα)
Structure: a crystal structure in OQMD, relaxed with PBE
Intensities are scaled so that the largest is 100.

Cell and atoms:
Cell: 4.485 2.626 10.641 Å, 90.00 97.56 90.00°
Element x y z (fractional)
Cu (0.000, 0.000, 0.000)
Cu (0.093, 0.500, 0.794)
Cu (0.198, 0.000, 0.599)
Cu (0.300, 0.500, 0.404)
Cu (0.399, 0.000, 0.210)
Cu (0.601, 0.000, 0.790)
Cu (0.700, 0.500, 0.596)
Cu (0.802, 0.000, 0.401)
Cu (0.907, 0.500, 0.206)
Ag (0.500, 0.500, 0.000)

Most intense lines, 2θ from 10° to 90°, by intensity:
Position (°2θ)  d/Å  I (rel.)
42.43  2.131  100
49.35  1.847  62
42.66  2.120  49
42.86  2.110  47
50.07  1.822  30
72.81  1.299  26
73.09  1.295  17
88.75  1.102  15
87.36  1.116  11
87.50  1.115  11
87.96  1.110  10
88.25  1.107  10

=====

Calculated XRD peak list
Compound: AlZnCdH6
Radiation: λ = 1.5418 Å (Cu Kα)
Structure: a crystal structure in OQMD, relaxed with PBE
Intensities are scaled so that the largest is 100.

Cell and atoms:
Cell: 4.818 4.818 4.818 Å, 60.00 60.00 60.00°
Element x y z (fractional)
Al (0.000, 0.000, 0.000)
Zn (0.250, 0.250, 0.250)
Cd (0.750, 0.750, 0.750)
H (0.256, 0.256, 0.744)
H (0.256, 0.744, 0.256)
H (0.256, 0.744, 0.744)
H (0.744, 0.256, 0.256)
H (0.744, 0.256, 0.744)
H (0.744, 0.744, 0.256)

Most intense lines, 2θ from 10° to 90°, by intensity:
Position (°2θ)  d/Å  I (rel.)
37.33  2.409  100
26.16  3.407  70
67.32  1.391  33
60.79  1.524  25
46.15  1.967  22
53.82  1.703  18
22.60  3.934  15
85.51  1.136  12
79.59  1.205  11
44.08  2.054  7
59.10  1.563  3
84.03  1.152  2

=====

Calculated XRD peak list
Compound: Nb2Sn3Pd2
Radiation: λ = 1.5418 Å (Cu Kα)
Structure: a crystal structure in OQMD, relaxed with PBE
Intensities are scaled so that the largest is 100.

Cell and atoms:
Cell: 8.355 8.355 8.355 Å, 31.91 31.91 31.91°
Element x y z (fractional)
Nb (0.000, 0.000, 0.000)
Nb (0.499, 0.499, 0.499)
Sn (0.385, 0.385, 0.385)
Sn (0.623, 0.623, 0.623)
Sn (0.866, 0.866, 0.866)
Pd (0.250, 0.250, 0.250)
Pd (0.749, 0.749, 0.749)

Most intense lines, 2θ from 10° to 90°, by intensity:
Position (°2θ)  d/Å  I (rel.)
37.79  2.381  100
39.22  2.297  97
70.14  1.342  33
55.60  1.653  33
71.09  1.326  17
67.28  1.392  15
29.27  3.051  13
22.66  3.924  12
84.33  1.148  11
52.82  1.733  9
23.58  3.773  9
80.74  1.190  9

=====

Calculated XRD peak list
Compound: SrAg2P4
Radiation: λ = 1.5418 Å (Cu Kα)
Structure: a crystal structure in OQMD, relaxed with PBE
Intensities are scaled so that the largest is 100.

Cell and atoms:
Cell: 11.732 11.422 5.387 Å, 79.78 73.36 26.87°
Element x y z (fractional)
Sr (0.125, 0.125, 0.125)
Sr (0.875, 0.875, 0.875)
Ag (0.037, 0.037, 0.713)
Ag (0.287, 0.287, 0.963)
Ag (0.713, 0.713, 0.037)
Ag (0.963, 0.963, 0.287)
P (0.107, 0.490, 0.409)
P (0.409, 0.495, 0.107)
P (0.490, 0.107, 0.495)
P (0.495, 0.409, 0.490)
P (0.505, 0.591, 0.510)
P (0.510, 0.893, 0.505)
P (0.591, 0.505, 0.893)
P (0.893, 0.510, 0.591)

Most intense lines, 2θ from 10° to 90°, by intensity:
Position (°2θ)  d/Å  I (rel.)
33.43  2.680  100
32.35  2.768  100
34.36  2.610  98
26.59  3.352  80
34.66  2.588  76
36.68  2.450  69
57.38  1.606  63
17.47  5.077  61
20.93  4.244  39
42.57  2.124  37
62.13  1.494  30
16.21  5.467  27